# KNa2Ni2O4
Calculated powder diffractogram, Cu Kα. Input: the GGA+U geometry in Alexandria.
Lines closer than 0.1° are merged.

Crystal structure
```
data_KNa2Ni2O4
_space_group_name_H-M_alt 'P 1 21/c 1'
_space_group_IT_number 14
_cell_length_a 5.851
_cell_length_b 11.094
_cell_length_c 8.907
_cell_angle_alpha 90.00
_cell_angle_beta 113.00
_cell_angle_gamma 90.00
loop_
_space_group_symop_operation_xyz
'x,y,z'
'-x,-y,-z'
'-x,y+1/2,-z+1/2'
'x,-y+1/2,z+1/2'
loop_
_atom_site_label
_atom_site_type_symbol
_atom_site_fract_x
_atom_site_fract_y
_atom_site_fract_z
_atom_site_occupancy
K1 K 0.169 0.113 0.460 1
Na1 Na 0.093 0.700 0.369 1
Na2 Na 0.094 0.080 0.882 1
Ni1 Ni 0.455 0.582 0.689 1
Ni2 Ni 0.485 0.666 0.239 1
O1 O 0.221 0.722 0.655 1
O2 O 0.247 0.055 0.174 1
O3 O 0.280 0.546 0.249 1
O4 O 0.308 0.215 0.774 1
```

Principal peaks in the range 5 to 70 degrees two-theta, most intense first:
hkl  d [Å]  Rel. int.
1 0 -2  4.132  1000
0 0 2  4.099  931
2 4 -1  2.011  584
1 0 0  5.386  575
2 0 -2  2.810  528
1 0 2  2.779  525
0 1 3  2.654  413
1 0 -4  2.226  386
2 4 -3  1.840  295
2 3 0  2.177  279